# Ce2W3O12
Simulated PXRD pattern, Cu Kα. Input: a crystal structure in Alexandria, relaxed with PBE+U.

Top 6 peaks for 15 to 90 degrees two-theta, most intense first:
- d 3.308, 2θ = 26.95°, I 100, (2 2 -1)
- d 3.126, 2θ = 28.55°, I 68, (0 2 3)
- d 1.996, 2θ = 45.44°, I 55, (4 0 -2)
- d 3.676, 2θ = 24.21°, I 31, (1 1 2)
- d 4.921, 2θ = 18.03°, I 30, (1 1 -2)
- d 2.954, 2θ = 30.26°, I 27, (0 4 0)

Atomic structure:
a b c (Å): 7.9862 11.8161 11.7381
angles (deg): 90.00 109.68 90.00
Space group C2/c (No. 15)
Asymmetric unit:
Ce: 0.1641 0.1230 0.0948 [8 per cell]
W: 0.0000 0.1347 0.7500 [4 per cell]
W: 0.1435 0.3965 0.5469 [8 per cell]
O: 0.0545 0.2856 0.4405 [8 per cell]
O: 0.0654 0.4627 0.9283 [8 per cell]
O: 0.1281 0.2100 0.8907 [8 per cell]
O: 0.1369 0.0519 0.4599 [8 per cell]
O: 0.1614 0.0454 0.7184 [8 per cell]
O: 0.2167 0.3275 0.6957 [8 per cell]